Theoretical powder X-ray diffraction pattern of Tm2U2Fe3 for Cu Kα, 1.54184 Å, from a crystal structure in Alexandria, relaxed with PBE.
Lines closer than 0.1° are merged.

```
data_Tm2U2Fe3
_space_group_name_H-M_alt 'P -1'
_space_group_IT_number 2
_cell_length_a 4.141
_cell_length_b 4.414
_cell_length_c 8.011
_cell_angle_alpha 100.23
_cell_angle_beta 97.64
_cell_angle_gamma 104.64
loop_
_space_group_symop_operation_xyz
'x,y,z'
'-x,-y,-z'
loop_
_atom_site_label
_atom_site_type_symbol
_atom_site_fract_x
_atom_site_fract_y
_atom_site_fract_z
Tm1 Tm 0.242 0.178 0.389
U1 U 0.221 0.585 0.873
Fe1 Fe 0.000 0.000 0.000
Fe2 Fe 0.439 0.215 0.781
```

Principal peaks in the range 2θ from 10° to 90°, low angle first:
d 3.372, I = 76; d 3.118, I = 67; d 3.061, I = 72; d 2.604, I = 93; d 2.534, I = 100; d 2.449, I = 84; d 2.104, I = 48; d 2.033, I = 62

Theoretical powder X-ray diffraction pattern of LaY8Ho3 for Cu Kα, 1.54184 Å, from a crystal structure in Alexandria, relaxed with PBE.
Lines closer than 0.1° are merged.

```
data_LaY8Ho3
_space_group_name_H-M_alt 'I m m 2'
_space_group_IT_number 44
_cell_length_a 10.952
_cell_length_b 11.360
_cell_length_c 6.328
_cell_angle_alpha 90.00
_cell_angle_beta 90.00
_cell_angle_gamma 90.00
loop_
_space_group_symop_operation_xyz
'x,y,z'
'-x,-y,z'
'-x,y,z'
'x,-y,z'
'x+1/2,y+1/2,z+1/2'
'-x+1/2,-y+1/2,z+1/2'
'-x+1/2,y+1/2,z+1/2'
'x+1/2,-y+1/2,z+1/2'
loop_
_atom_site_label
_atom_site_type_symbol
_atom_site_fract_x
_atom_site_fract_y
_atom_site_fract_z
La1 La 0.000 0.000 0.000
Y1 Y 0.164 0.500 0.504
Y2 Y 0.166 0.253 0.169
Y3 Y 0.167 0.000 0.502
Ho1 Ho 0.000 0.252 0.671
Ho2 Ho 0.000 0.500 0.000
```

Principal peaks in the range 2θ from 10° to 90°, low angle first:
d 3.163, I = 24; d 2.840, I = 24; d 2.763, I = 100; d 2.113, I = 15; d 1.826, I = 19; d 1.624, I = 20; d 1.536, I = 22; d 1.523, I = 16

Theoretical powder X-ray diffraction pattern of AcNd2Al2In2 for Cu Kα, 1.54184 Å, from a crystal structure in Alexandria, relaxed with PBE.
Lines closer than 0.1° are merged.

```
data_AcNd2Al2In2
_space_group_name_H-M_alt 'R -3 m'
_space_group_IT_number 166
_space_group_name_Hall '-R 3 2"'
_cell_length_a 4.7494
_cell_length_b 4.7494
_cell_length_c 31.0223
_cell_angle_alpha 90.00
_cell_angle_beta 90.00
_cell_angle_gamma 120.00
loop_
_atom_site_label
_atom_site_type_symbol
_atom_site_fract_x
_atom_site_fract_y
_atom_site_fract_z
Ac1 Ac 0.0000 0.0000 0.0000
Nd1 Nd 0.0000 0.0000 0.1322
Al1 Al 0.0000 0.0000 0.4056
In1 In 0.0000 0.0000 0.2558
```

Principal peaks in the range 2θ from 10° to 90°, low angle first:
d 4.077, I = 64; d 3.015, I = 75; d 2.822, I = 100; d 2.375, I = 77; d 1.865, I = 19; d 1.817, I = 28; d 1.560, I = 30; d 1.443, I = 26

Theoretical powder X-ray diffraction pattern of TmCo6B2 for Cu Kα, 1.54184 Å, from a crystal structure in Alexandria, relaxed with PBE.
Lines closer than 0.1° are merged.

Cell lengths 9.768, 9.768, 9.768 Å; angles 90.00, 90.00, 90.00 degrees
Space group Fd-3m (No. 227, origin choice 2)
Inequivalent atoms, fractional coordinates:
Tm  0.125  0.125  0.125 [8 per cell]
Co  0.084  0.375  0.875 [48 per cell]
B  0.000  0.000  0.500 [16 per cell]

Principal peaks in the range 2θ from 10° to 90°, low angle first:
d 2.945, I = 64; d 2.442, I = 100; d 2.241, I = 64; d 1.880, I = 26; d 1.727, I = 59; d 1.544, I = 14; d 1.272, I = 27; d 1.193, I = 18

Theoretical powder X-ray diffraction pattern of RbNb6Se12 for Cu Kα, 1.54184 Å, from a crystal structure in Alexandria, relaxed with PBE.
Lines closer than 0.1° are merged.

```
data_RbNb6Se12
_space_group_name_H-M_alt 'R -3 m'
_space_group_IT_number 166
_space_group_name_Hall '-R 3 2"'
_cell_length_a 12.5994
_cell_length_b 12.5994
_cell_length_c 8.9638
_cell_angle_alpha 90.00
_cell_angle_beta 90.00
_cell_angle_gamma 120.00
loop_
_atom_site_label
_atom_site_type_symbol
_atom_site_fract_x
_atom_site_fract_y
_atom_site_fract_z
Rb1 Rb 0.0000 0.0000 0.0000
Nb1 Nb 0.0653 0.5327 0.2388
Se1 Se 0.0000 0.3794 0.5000
Se2 Se 0.0896 0.1792 0.3122
```

Principal peaks in the range 2θ from 10° to 90°, low angle first:
d 2.867, I = 90; d 2.700, I = 56; d 2.411, I = 100; d 2.309, I = 80; d 2.185, I = 42; d 2.100, I = 47; d 2.073, I = 52; d 1.962, I = 52

Theoretical powder X-ray diffraction pattern of AcLa6Pt4 for Cu Kα, 1.54184 Å, from a crystal structure in Alexandria, relaxed with PBE.
Lines closer than 0.1° are merged.

```
data_AcLa6Pt4
_space_group_name_H-M_alt 'P 1'
_space_group_IT_number 1
_cell_length_a 6.211
_cell_length_b 6.295
_cell_length_c 9.041
_cell_angle_alpha 108.16
_cell_angle_beta 93.93
_cell_angle_gamma 104.05
loop_
_space_group_symop_operation_xyz
'x,y,z'
loop_
_atom_site_label
_atom_site_type_symbol
_atom_site_fract_x
_atom_site_fract_y
_atom_site_fract_z
Ac1 Ac 0.000 0.000 0.000
La1 La 0.020 0.472 0.376
La2 La 0.203 0.076 0.645
La3 La 0.237 0.586 0.014
La4 La 0.573 0.610 0.650
La5 La 0.632 0.941 0.363
La6 La 0.657 0.377 0.015
Pt1 Pt 0.071 0.595 0.706
Pt2 Pt 0.124 0.940 0.310
Pt3 Pt 0.476 0.391 0.308
Pt4 Pt 0.738 0.147 0.701
```

Principal peaks in the range 2θ from 10° to 90°, low angle first:
d 3.054, I = 47; d 2.975, I = 37; d 2.873, I = 60; d 2.851, I = 34; d 2.828, I = 100; d 2.816, I = 32; d 2.475, I = 99; d 2.431, I = 45

Theoretical powder X-ray diffraction pattern of MgIn8 for Cu Kα, 1.54184 Å, from a crystal structure in Alexandria, relaxed with PBE.
Lines closer than 0.1° are merged.

```
data_MgIn8
_space_group_name_H-M_alt 'I 4/m m m'
_space_group_IT_number 139
_space_group_name_Hall '-I 4 2'
_cell_length_a 11.422
_cell_length_b 11.422
_cell_length_c 3.684
_cell_angle_alpha 90.00
_cell_angle_beta 90.00
_cell_angle_gamma 90.00
loop_
_atom_site_label
_atom_site_type_symbol
_atom_site_fract_x
_atom_site_fract_y
_atom_site_fract_z
Mg1 Mg 0.000 0.000 0.000
In1 In 0.000 0.331 0.000
In2 In 0.165 0.165 0.500
```

Principal peaks in the range 2θ from 10° to 90°, low angle first:
d 2.692, I = 52; d 2.648, I = 100; d 1.904, I = 18; d 1.842, I = 8; d 1.546, I = 37; d 1.520, I = 17; d 1.324, I = 11; d 1.200, I = 8

Theoretical powder X-ray diffraction pattern of Nd3Si3Au for Cu Kα, 1.54184 Å, from a crystal structure in Alexandria, relaxed with PBE.
Lines closer than 0.1° are merged.

```
data_Nd3Si3Au
_space_group_name_H-M_alt 'I m m 2'
_space_group_IT_number 44
_cell_length_a 4.064
_cell_length_b 4.384
_cell_length_c 18.579
_cell_angle_alpha 90.00
_cell_angle_beta 90.00
_cell_angle_gamma 90.00
loop_
_space_group_symop_operation_xyz
'x,y,z'
'-x,-y,z'
'-x,y,z'
'x,-y,z'
'x+1/2,y+1/2,z+1/2'
'-x+1/2,-y+1/2,z+1/2'
'-x+1/2,y+1/2,z+1/2'
'x+1/2,-y+1/2,z+1/2'
loop_
_atom_site_label
_atom_site_type_symbol
_atom_site_fract_x
_atom_site_fract_y
_atom_site_fract_z
Nd1 Nd 0.000 0.000 0.000
Nd2 Nd 0.000 0.000 0.370
Nd3 Nd 0.000 0.500 0.693
Si1 Si 0.000 0.000 0.540
Si2 Si 0.000 0.000 0.829
Si3 Si 0.000 0.500 0.253
Au1 Au 0.000 0.500 0.121
```

Principal peaks in the range 2θ from 10° to 90°, low angle first:
d 3.578, I = 12; d 3.398, I = 21; d 2.837, I = 100; d 2.222, I = 15; d 2.192, I = 15; d 2.032, I = 12; d 1.841, I = 15; d 1.651, I = 14

Question: Which formula does entry 1 have?
Answer: Tm2U2Fe3